Theoretical powder diffractogram
Compound: TbUN3
Radiation: Cu Kα
Structure: DFT lattice parameters and positions (GGA-PBE)
Neutral-atom scattering factors, no anomalous dispersion.

Crystal structure
```
TbUN3
1.0
-2.911 4.156 2.925
2.911 -4.156 2.925
2.911 4.156 -2.925
Tb U N
2 2 6
direct
0.278 0.028 0.250 Tb
0.722 0.972 0.750 Tb
0.000 0.500 0.500 U
0.500 0.500 0.000 U
0.124 0.374 0.750 N
0.323 0.000 0.823 N
0.323 0.500 0.323 N
0.677 0.000 0.177 N
0.677 0.500 0.677 N
0.876 0.626 0.250 N
```

Principal peaks in the range 2θ = 5–70°, in order of falling intensity:
2θ/deg  d/Å  I_rel
30.53  2.928  1000
30.72  2.911  200
54.19  1.693  186
43.88  2.063  178
54.49  1.684  168
54.30  1.689  167
63.56  1.464  129
43.55  2.078  87
21.54  4.126  45
63.97  1.455  32

Theoretical powder diffractogram
Compound: SmTmZn2Sn2
Radiation: Cu Kα
Structure: DFT lattice parameters and positions (GGA-PBE)
Neutral-atom scattering factors, no anomalous dispersion.

Crystal structure
```
SmTmZn2Sn2
1.0
4.505 0.000 0.000
-2.252 3.901 0.000
0.000 0.000 15.969
Sm Tm Zn Sn
2 2 4 4
direct
0.000 0.000 0.000 Sm
0.000 0.000 0.500 Sm
0.000 0.000 0.250 Tm
0.000 0.000 0.750 Tm
0.333 0.667 0.163 Zn
0.333 0.667 0.337 Zn
0.667 0.333 0.663 Zn
0.667 0.333 0.837 Zn
0.333 0.667 0.617 Sn
0.333 0.667 0.883 Sn
0.667 0.333 0.117 Sn
0.667 0.333 0.383 Sn
```

Principal peaks in the range 2θ = 5–70°, in order of falling intensity:
2θ/deg  d/Å  I_rel
32.08  2.790  1000
40.03  2.252  597
52.19  1.753  256
67.74  1.383  235
62.13  1.494  165
28.36  3.147  156
46.09  1.969  134
22.79  3.901  80
45.44  1.996  69
51.42  1.777  61

Theoretical powder diffractogram
Compound: LaTlCoTe3
Radiation: Cu Kα
Structure: DFT lattice parameters and positions (GGA-PBE)
Neutral-atom scattering factors, no anomalous dispersion.

Crystal structure
```
LaTlCoTe3
1.0
2.198 -7.779 0.000
2.198 7.779 0.000
0.000 0.000 11.975
La Tl Co Te
2 2 2 6
direct
0.000 0.000 0.000 La
0.000 0.000 0.500 La
0.246 0.754 0.750 Tl
0.754 0.246 0.250 Tl
0.474 0.526 0.250 Co
0.526 0.474 0.750 Co
0.072 0.928 0.250 Te
0.367 0.633 0.084 Te
0.367 0.633 0.416 Te
0.633 0.367 0.584 Te
0.633 0.367 0.916 Te
0.928 0.072 0.750 Te
```

Principal peaks in the range 2θ = 5–70°, in order of falling intensity:
2θ/deg  d/Å  I_rel
27.63  3.229  1000
30.80  2.903  427
25.07  3.552  353
30.56  2.926  336
57.09  1.613  320
41.07  2.198  285
37.92  2.372  279
26.58  3.353  265
37.81  2.379  246
18.70  4.745  243

Theoretical powder diffractogram
Compound: InCuMoSeS2
Radiation: Cu Kα
Structure: DFT lattice parameters and positions (GGA-PBE)
Neutral-atom scattering factors, no anomalous dispersion.

Crystal structure
```
InCuMoSeS2
1.0
1.710 -7.279 0.000
1.710 7.279 0.000
0.000 0.000 9.620
In Cu Mo Se S
2 2 2 2 4
direct
0.244 0.756 0.750 In
0.756 0.244 0.250 In
0.455 0.545 0.250 Cu
0.545 0.455 0.750 Cu
0.000 0.000 0.000 Mo
0.000 0.000 0.500 Mo
0.075 0.925 0.250 Se
0.925 0.075 0.750 Se
0.380 0.620 0.046 S
0.380 0.620 0.454 S
0.620 0.380 0.546 S
0.620 0.380 0.954 S
```

Principal peaks in the range 2θ = 5–70°, in order of falling intensity:
2θ/deg  d/Å  I_rel
33.37  2.685  1000
37.39  2.405  412
12.16  7.279  355
37.20  2.417  350
41.69  2.166  321
42.92  2.107  315
22.15  4.013  266
58.21  1.585  251
67.17  1.394  213
45.02  2.014  208

Theoretical powder diffractogram
Compound: Y4Er2LuNi2Te2
Radiation: Cu Kα
Structure: DFT lattice parameters and positions (GGA-PBE)
Neutral-atom scattering factors, no anomalous dispersion.

Crystal structure
```
Y4Er2LuNi2Te2
1.0
-1.920 7.788 4.786
1.920 -7.788 4.786
1.920 7.788 -4.786
Y Er Lu Ni Te
4 2 1 2 2
direct
0.145 0.000 0.145 Y
0.167 0.351 0.816 Y
0.535 0.351 0.184 Y
0.855 0.000 0.855 Y
0.515 0.148 0.367 Er
0.780 0.148 0.633 Er
0.230 0.730 0.500 Lu
0.397 0.657 0.740 Ni
0.917 0.657 0.260 Ni
0.495 0.495 0.000 Te
0.891 0.391 0.500 Te
```

Principal peaks in the range 2θ = 5–70°, in order of falling intensity:
2θ/deg  d/Å  I_rel
34.10  2.629  1000
32.95  2.718  582
34.57  2.595  557
30.39  2.941  472
58.89  1.568  269
47.34  1.920  235
51.17  1.785  213
30.17  2.962  167
38.46  2.341  147
28.56  3.126  141

Theoretical powder diffractogram
Compound: SnAu9
Radiation: Cu Kα
Structure: DFT lattice parameters and positions (GGA-PBE)
Neutral-atom scattering factors, no anomalous dispersion.

Crystal structure
```
SnAu9
1.0
3.024 0.000 0.000
0.000 3.024 0.000
0.000 0.000 52.637
Sn Au
2 18
direct
0.250 0.250 0.139 Sn
0.750 0.750 0.861 Sn
0.250 0.250 0.219 Au
0.250 0.250 0.294 Au
0.250 0.250 0.369 Au
0.250 0.250 0.444 Au
0.250 0.250 0.519 Au
0.250 0.250 0.593 Au
0.250 0.250 0.668 Au
0.250 0.250 0.743 Au
0.250 0.250 0.820 Au
0.750 0.750 0.180 Au
0.750 0.750 0.257 Au
0.750 0.750 0.332 Au
0.750 0.750 0.407 Au
0.750 0.750 0.481 Au
0.750 0.750 0.556 Au
0.750 0.750 0.631 Au
0.750 0.750 0.706 Au
0.750 0.750 0.781 Au
```

Principal peaks in the range 2θ = 5–70°, in order of falling intensity:
2θ/deg  d/Å  I_rel
37.11  2.423  1000
42.28  2.138  511
38.20  2.356  450
64.71  1.441  178
61.32  1.512  172
63.26  1.470  121
5.04  17.546  120
46.59  1.950  117
44.77  2.025  84
35.11  2.556  52

Theoretical powder diffractogram
Compound: LaPrBi4Au2
Radiation: Cu Kα
Structure: DFT lattice parameters and positions (GGA-PBE)
Neutral-atom scattering factors, no anomalous dispersion.

Crystal structure
```
LaPrBi4Au2
1.0
4.678 0.000 0.000
0.000 4.678 0.000
0.000 0.000 10.158
La Pr Bi Au
1 1 4 2
direct
0.000 0.000 0.000 La
0.500 0.500 0.527 Pr
0.000 0.000 0.576 Bi
0.000 0.500 0.265 Bi
0.500 0.000 0.265 Bi
0.500 0.500 0.948 Bi
0.000 0.500 0.762 Au
0.500 0.000 0.762 Au
```

Principal peaks in the range 2θ = 5–70°, in order of falling intensity:
2θ/deg  d/Å  I_rel
32.30  2.772  1000
38.49  2.339  376
65.74  1.420  268
53.24  1.720  148
55.56  1.654  132
35.35  2.539  117
67.59  1.386  98
8.71  10.158  72
45.00  2.014  69
38.03  2.366  67

Theoretical powder diffractogram
Compound: Hf2Sc4Bi3N3
Radiation: Cu Kα
Structure: DFT lattice parameters and positions (GGA-PBE)
Neutral-atom scattering factors, no anomalous dispersion.

Crystal structure
```
Hf2Sc4Bi3N3
1.0
5.091 -2.940 0.000
5.091 2.940 0.000
-3.406 0.000 14.210
Hf Sc Bi N
4 8 6 6
direct
0.026 0.854 0.578 Hf
0.146 0.974 0.922 Hf
0.854 0.026 0.078 Hf
0.974 0.146 0.422 Hf
0.193 0.367 0.081 Sc
0.312 0.468 0.419 Sc
0.367 0.193 0.581 Sc
0.468 0.312 0.919 Sc
0.532 0.688 0.081 Sc
0.633 0.807 0.419 Sc
0.688 0.532 0.581 Sc
0.807 0.633 0.919 Sc
0.084 0.248 0.749 Bi
0.248 0.084 0.249 Bi
0.417 0.583 0.750 Bi
0.583 0.417 0.250 Bi
0.752 0.916 0.751 Bi
0.916 0.752 0.251 Bi
0.000 0.500 0.500 N
0.162 0.675 0.000 N
0.325 0.838 0.500 N
0.500 0.000 0.000 N
0.675 0.162 0.500 N
0.838 0.325 0.000 N
```

Principal peaks in the range 2θ = 5–70°, in order of falling intensity:
2θ/deg  d/Å  I_rel
35.96  2.498  1000
30.41  2.939  223
54.03  1.697  220
67.95  1.379  199
37.99  2.368  177
66.62  1.404  166
67.32  1.391  157
49.42  1.844  151
31.07  2.879  149
12.46  7.105  144

Theoretical powder diffractogram
Compound: Pr2Re3Si5
Radiation: Cu Kα
Structure: DFT lattice parameters and positions (GGA-PBE)
Neutral-atom scattering factors, no anomalous dispersion.

Crystal structure
```
Pr2Re3Si5
1.0
11.050 0.000 0.000
0.000 11.050 0.000
0.000 0.000 5.764
Pr Re Si
8 12 20
direct
0.077 0.236 0.000 Pr
0.236 0.923 0.000 Pr
0.264 0.423 0.500 Pr
0.423 0.736 0.500 Pr
0.577 0.264 0.500 Pr
0.736 0.577 0.500 Pr
0.764 0.077 0.000 Pr
0.923 0.764 0.000 Pr
0.000 0.500 0.250 Re
0.000 0.500 0.750 Re
0.125 0.851 0.500 Re
0.149 0.125 0.500 Re
0.351 0.625 0.000 Re
0.375 0.351 0.000 Re
0.500 0.000 0.250 Re
0.500 0.000 0.750 Re
0.625 0.649 0.000 Re
0.649 0.375 0.000 Re
0.851 0.875 0.500 Re
0.875 0.149 0.500 Re
0.000 0.000 0.266 Si
0.000 0.000 0.734 Si
0.023 0.317 0.500 Si
0.171 0.671 0.250 Si
0.171 0.671 0.750 Si
0.183 0.477 0.000 Si
0.317 0.977 0.500 Si
0.329 0.171 0.250 Si
0.329 0.171 0.750 Si
0.477 0.817 0.000 Si
0.500 0.500 0.234 Si
0.500 0.500 0.766 Si
0.523 0.183 0.000 Si
0.671 0.829 0.250 Si
0.671 0.829 0.750 Si
0.683 0.023 0.500 Si
0.817 0.523 0.000 Si
0.829 0.329 0.250 Si
0.829 0.329 0.750 Si
0.977 0.683 0.500 Si
```

Principal peaks in the range 2θ = 5–70°, in order of falling intensity:
2θ/deg  d/Å  I_rel
25.49  3.494  1000
36.99  2.430  771
29.90  2.988  749
33.13  2.704  529
38.83  2.319  520
36.36  2.471  520
47.03  1.932  482
45.48  1.994  336
43.88  2.064  331
28.76  3.104  328

Theoretical powder diffractogram
Compound: CuP10
Radiation: Cu Kα
Structure: DFT lattice parameters and positions (GGA-PBE)
Neutral-atom scattering factors, no anomalous dispersion.

Crystal structure
```
CuP10
1.0
7.198 0.000 0.000
1.243 11.515 0.000
1.401 4.451 11.011
Cu P
4 40
direct
0.227 0.322 0.253 Cu
0.230 0.619 0.965 Cu
0.770 0.381 0.035 Cu
0.773 0.678 0.747 Cu
0.056 0.821 0.420 P
0.057 0.048 0.192 P
0.064 0.332 0.964 P
0.070 0.605 0.701 P
0.162 0.400 0.766 P
0.167 0.132 0.001 P
0.173 0.628 0.511 P
0.185 0.855 0.234 P
0.229 0.938 0.476 P
0.242 0.110 0.293 P
0.252 0.708 0.756 P
0.253 0.405 0.045 P
0.474 0.407 0.768 P
0.477 0.138 0.011 P
0.479 0.929 0.794 P
0.483 0.646 0.513 P
0.489 0.660 0.033 P
0.490 0.150 0.559 P
0.493 0.385 0.294 P
0.497 0.870 0.250 P
0.503 0.130 0.750 P
0.507 0.615 0.706 P
0.510 0.850 0.441 P
0.511 0.340 0.967 P
0.517 0.354 0.487 P
0.521 0.071 0.206 P
0.523 0.862 0.989 P
0.526 0.593 0.232 P
0.747 0.595 0.955 P
0.748 0.292 0.244 P
0.758 0.890 0.707 P
0.771 0.062 0.524 P
0.815 0.145 0.766 P
0.827 0.372 0.489 P
0.833 0.868 0.999 P
0.838 0.600 0.234 P
0.930 0.395 0.299 P
0.936 0.668 0.036 P
0.943 0.952 0.808 P
0.944 0.179 0.580 P
```

Principal peaks in the range 2θ = 5–70°, in order of falling intensity:
2θ/deg  d/Å  I_rel
9.12  9.692  1000
32.53  2.753  751
29.02  3.077  724
33.58  2.669  580
27.80  3.209  545
14.39  6.154  542
8.03  11.011  411
37.86  2.377  322
18.31  4.844  255
31.39  2.850  253

Theoretical powder diffractogram
Compound: Zr2Sc2SbAs
Radiation: Cu Kα
Structure: DFT lattice parameters and positions (GGA-PBE)
Neutral-atom scattering factors, no anomalous dispersion.

Crystal structure
```
Zr2Sc2SbAs
1.0
-2.033 2.033 7.805
2.033 -2.033 7.805
2.033 2.033 -7.805
Zr Sc Sb As
2 2 1 1
direct
0.000 0.500 0.500 Zr
0.500 0.000 0.500 Zr
0.168 0.168 0.000 Sc
0.813 0.813 0.000 Sc
0.354 0.354 0.000 Sb
0.635 0.635 0.000 As
```

Principal peaks in the range 2θ = 5–70°, in order of falling intensity:
2θ/deg  d/Å  I_rel
38.91  2.315  1000
33.21  2.698  822
44.57  2.033  493
34.47  2.602  329
11.34  7.805  299
57.53  1.602  284
22.60  3.935  228
46.47  1.954  207
66.36  1.409  182
64.86  1.438  154